No. 1
The following is a calculated XRD peak list of TbHoS2I2. It was derived from a cell relaxed with GGA-PBE, using CuKα.

```
data_TbHoS2I2
_chemical_formula_sum 'Tb1 Ho1 S2 I2'
_cell_length_a 4.1851
_cell_length_b 5.3588
_cell_length_c 9.5436
_cell_angle_alpha 90.00
_cell_angle_beta 90.00
_cell_angle_gamma 90.00
_space_group_name_H-M_alt 'P m m 2'
_space_group_IT_number 25
_space_group_name_Hall 'P 2 -2'
loop_
_atom_site_label
_atom_site_type_symbol
_atom_site_fract_x
_atom_site_fract_y
_atom_site_fract_z
Tb1 Tb 0.0000 0.0000 0.0000
Ho1 Ho 0.5000 0.5000 0.2373
S1 S 0.0000 0.5000 0.0539
S2 S 0.5000 0.0000 0.1871
I1 I 0.0000 0.5000 0.4684
I2 I 0.5000 0.0000 0.7658
```

Most intense lines, 2θ = 10–90°, in order of rising 2θ:
d/Å  two_theta  Rel. int.  hkl
4.673  18.99  100  0 1 1
3.146  28.37  92  1 0 2
3.117  28.63  50  1 1 1
2.679  33.44  32  0 2 0
2.290  39.35  42  1 1 3
2.040  44.41  55  1 2 2

No. 2
The following is a calculated XRD peak list of HoSbI6. It was derived from a cell relaxed with GGA-PBE, using CuKα.

```
data_HoSbI6
_chemical_formula_sum 'Ho2 Sb2 I12'
_cell_length_a 7.6305
_cell_length_b 13.2283
_cell_length_c 7.6344
_cell_angle_alpha 90.00
_cell_angle_beta 108.95
_cell_angle_gamma 90.00
_space_group_name_H-M_alt 'C 1 2 1'
_space_group_IT_number 5
_space_group_name_Hall 'C 2y'
loop_
_atom_site_label
_atom_site_type_symbol
_atom_site_fract_x
_atom_site_fract_y
_atom_site_fract_z
Ho1 Ho 0.0000 0.0000 0.0000
Sb1 Sb 0.0000 0.6673 0.0000
I1 I 0.2262 0.8349 0.2471
I2 I 0.2455 0.0084 0.7582
I3 I 0.2484 0.6580 0.7585
```

Most intense lines, 2θ = 10–90°, in order of rising 2θ:
d/Å  two_theta  Rel. int.  hkl
7.221  12.26  34  0 0 1
3.609  24.67  31  0 0 2
3.596  24.76  29  1 3 -1
3.127  28.55  100  1 3 1
3.106  28.74  49  2 0 -2
2.204  40.95  91  1 3 -3

No. 3
The following is a calculated XRD peak list of TbHoI6. It was derived from a cell relaxed with GGA-PBE, using CuKα.

```
data_TbHoI6
_chemical_formula_sum 'Tb2 Ho2 I12'
_cell_length_a 7.6250
_cell_length_b 13.2246
_cell_length_c 7.6469
_cell_angle_alpha 90.00
_cell_angle_beta 108.98
_cell_angle_gamma 90.00
_space_group_name_H-M_alt 'C 1 2 1'
_space_group_IT_number 5
_space_group_name_Hall 'C 2y'
loop_
_atom_site_label
_atom_site_type_symbol
_atom_site_fract_x
_atom_site_fract_y
_atom_site_fract_z
Tb1 Tb 0.0000 0.0000 0.0000
Ho1 Ho 0.0000 0.3320 0.0000
I1 I 0.2259 0.1672 0.2471
I2 I 0.2448 0.3407 0.7580
I3 I 0.2485 0.9900 0.7580
```

Most intense lines, 2θ = 10–90°, in order of rising 2θ:
d/Å  two_theta  Rel. int.  hkl
7.231  12.24  39  0 0 1
3.611  24.66  25  0 0 2
3.596  24.76  23  1 3 -1
3.127  28.55  100  1 3 1
3.108  28.73  49  2 0 -2
2.204  40.94  91  1 3 -3

No. 4
The following is a calculated XRD peak list of HoLu2In3Ir2. It was derived from a cell relaxed with GGA-PBE, using CuKα.

```
data_HoLu2In3Ir2
_chemical_formula_sum 'Ho2 Lu4 In6 Ir4'
_cell_length_a 3.5860
_cell_length_b 13.1480
_cell_length_c 7.5643
_cell_angle_alpha 90.00
_cell_angle_beta 90.00
_cell_angle_gamma 90.00
_space_group_name_H-M_alt 'A m m 2'
_space_group_IT_number 38
_space_group_name_Hall 'A 2 -2'
loop_
_atom_site_label
_atom_site_type_symbol
_atom_site_fract_x
_atom_site_fract_y
_atom_site_fract_z
Ho1 Ho 0.0000 0.0000 0.0000
Lu1 Lu 0.0000 0.2113 0.6332
In1 In 0.5000 0.0000 0.6556
In2 In 0.5000 0.1181 0.3048
Ir1 Ir 0.5000 0.1683 0.9208
```

Most intense lines, 2θ = 10–90°, in order of rising 2θ:
d/Å  two_theta  Rel. int.  hkl
6.564  13.49  30  0 2 0
2.604  34.44  100  1 0 2
2.482  36.19  46  0 5 1
2.476  36.28  22  0 1 3
2.421  37.14  71  1 2 2
1.453  64.08  25  2 5 1

No. 5
The following is a calculated XRD peak list of Ho3In3IrPd2. It was derived from a cell relaxed with GGA-PBE, using CuKα.

```
data_Ho3In3IrPd2
_chemical_formula_sum 'Ho3 In3 Ir1 Pd2'
_cell_length_a 7.5764
_cell_length_b 7.5764
_cell_length_c 3.9366
_cell_angle_alpha 90.00
_cell_angle_beta 90.00
_cell_angle_gamma 120.00
_space_group_name_H-M_alt 'P -6 2 m'
_space_group_IT_number 189
_space_group_name_Hall 'P -6 -2'
loop_
_atom_site_label
_atom_site_type_symbol
_atom_site_fract_x
_atom_site_fract_y
_atom_site_fract_z
Ho1 Ho 0.0000 0.3992 0.0000
In1 In 0.0000 0.7413 0.5000
Ir1 Ir 0.0000 0.0000 0.0000
Pd1 Pd 0.3333 0.6667 0.5000
```

Most intense lines, 2θ = 10–90°, in order of rising 2θ:
d/Å  two_theta  Rel. int.  hkl
2.730  32.81  100  1 1 1
2.520  35.62  99  2 0 1
2.480  36.22  40  2 1 0
2.187  41.28  50  3 0 0
2.098  43.11  35  2 1 1
1.406  66.50  37  3 2 1

No. 6
The following is a calculated XRD peak list of HoTm2In3Ir2. It was derived from a cell relaxed with GGA-PBE, using CuKα.

```
data_HoTm2In3Ir2
_chemical_formula_sum 'Ho2 Tm4 In6 Ir4'
_cell_length_a 3.6182
_cell_length_b 13.1487
_cell_length_c 7.5789
_cell_angle_alpha 90.00
_cell_angle_beta 90.00
_cell_angle_gamma 90.00
_space_group_name_H-M_alt 'A m m 2'
_space_group_IT_number 38
_space_group_name_Hall 'A 2 -2'
loop_
_atom_site_label
_atom_site_type_symbol
_atom_site_fract_x
_atom_site_fract_y
_atom_site_fract_z
Ho1 Ho 0.0000 0.0000 0.0000
Tm1 Tm 0.0000 0.2112 0.3669
In1 In 0.5000 0.0000 0.3438
In2 In 0.5000 0.1179 0.6952
Ir1 Ir 0.5000 0.1675 0.0786
```

Most intense lines, 2θ = 10–90°, in order of rising 2θ:
d/Å  two_theta  Rel. int.  hkl
6.569  13.48  29  0 2 0
2.618  34.25  100  1 0 2
2.483  36.18  68  0 5 1
2.432  36.96  71  1 2 2
1.462  63.64  26  2 5 1
1.333  70.69  22  1 3 5